Diffraction record for YFe2PH. The X-ray diffraction stick pattern is calculated, not measured: it uses a structure optimized by DFT (GGA-PBE) and Cu Ka.

Most intense lines, 5 to 70 degrees two-theta, by angle:
2θ/deg	intensity
31.5	383
36.7	817
37.3	1000
38.0	484
39.0	453
43.3	321
47.9	245
51.0	317
54.8	206
67.1	197

Cell lengths 5.354, 5.354, 6.886 Å; angles 90.00, 90.00, 140.92 degrees
Atoms (fractional coordinates):
Y 0.047 0.953 0.750
Y 0.953 0.047 0.250
Fe 0.329 0.671 0.559
Fe 0.329 0.671 0.941
Fe 0.671 0.329 0.059
Fe 0.671 0.329 0.441
P 0.234 0.766 0.250
P 0.766 0.234 0.750
H 0.500 0.500 0.000
H 0.500 0.500 0.500